Starting from the PBE+U geometry in Alexandria, the powder diffraction line list of VAg3O4 was calculated for Cu Kα (λ = 1.5418 Å).

Structure:
Lattice parameters (Å, degrees): 10.500 5.099 10.300 90.00 116.31 90.00
Space group C2/c (No. 15)
Symmetry-distinct sites (fractional):
1 V 0.000 0.052 0.250 [4 per cell]
2 Ag 0.000 0.500 0.000 [4 per cell]
3 Ag 0.242 0.043 0.597 [8 per cell]
4 O 0.097 0.152 0.897 [8 per cell]
5 O 0.116 0.249 0.207 [8 per cell]

Main lines, in order of rising 2θ (5 to 70 degrees two-theta):
19.2°, intensity 151, (0 0 2)
30.6°, intensity 852, (1 1 2)
31.7°, intensity 1000, (3 1 -2)
34.9°, intensity 218, (2 0 -4)
35.2°, intensity 237, (0 2 0)
38.2°, intensity 206, (4 0 0)
50.4°, intensity 207, (2 2 -4)
53.0°, intensity 204, (4 2 0)
54.2°, intensity 116, (6 0 -4)
63.7°, intensity 145, (5 1 2)